# 1
For CuRh2O4, a structure optimized by DFT (GGA-PBE) gives the computed X-ray powder pattern in this record (Cu Kα).
Lines closer than 0.1° are merged.

```
CuRh2O4
1.0
0.000 4.312 4.312
4.312 0.000 4.312
4.312 4.312 0.000
Cu Rh O
2 4 8
Direct
0.125 0.125 0.125
0.875 0.875 0.875
0.000 0.500 0.500
0.500 0.000 0.500
0.500 0.500 0.000
0.500 0.500 0.500
0.261 0.261 0.261
0.261 0.261 0.717
0.261 0.717 0.261
0.283 0.739 0.739
0.717 0.261 0.261
0.739 0.283 0.739
0.739 0.739 0.283
0.739 0.739 0.739
```

Top 8 peaks for 2θ = 15–90°, by intensity:
2θ 34.49, rel. 1000; 2θ 60.75, rel. 435; 2θ 55.35, rel. 368; 2θ 17.81, rel. 320; 2θ 36.08, rel. 274; 2θ 41.90, rel. 256; 2θ 86.73, rel. 192; 2θ 29.29, rel. 167



# 2
For DyAg3, a structure optimized by DFT (GGA-PBE) gives the computed X-ray powder pattern in this record (Cu Kα).
Lines closer than 0.1° are merged.

```
DyAg3
1.0
4.422 0.000 0.000
0.000 4.422 0.000
0.000 0.000 8.473
Dy Ag
2 6
Direct
0.000 0.000 0.000
0.500 0.500 0.500
0.000 0.000 0.500
0.000 0.500 0.250
0.000 0.500 0.750
0.500 0.000 0.250
0.500 0.000 0.750
0.500 0.500 0.000
```

Top 8 peaks for 2θ = 15–90°, by intensity:
2θ 35.69, rel. 1000; 2θ 40.81, rel. 342; 2θ 70.98, rel. 253; 2θ 60.53, rel. 206; 2θ 42.68, rel. 150; 2θ 73.60, rel. 117; 2θ 59.09, rel. 111; 2θ 75.59, rel. 106



# 3
For LiInSi2O6, a structure optimized by DFT (GGA-PBE) gives the computed X-ray powder pattern in this record (Cu Kα).
Lines closer than 0.1° are merged.

```
LiInSi2O6
1.0
4.984 -4.610 0.000
4.984 4.610 0.000
-1.941 0.000 5.094
Li In Si O
2 2 4 12
Direct
0.243 0.757 0.750
0.757 0.243 0.250
0.110 0.890 0.250
0.890 0.110 0.750
0.217 0.386 0.281
0.386 0.217 0.781
0.614 0.783 0.219
0.783 0.614 0.719
0.039 0.206 0.164
0.132 0.615 0.369
0.206 0.039 0.664
0.334 0.369 0.047
0.369 0.334 0.547
0.385 0.868 0.131
0.615 0.132 0.869
0.631 0.666 0.453
0.666 0.631 0.953
0.794 0.961 0.336
0.868 0.385 0.631
0.961 0.794 0.836
```

Top 8 peaks for 2θ = 15–90°, by intensity:
2θ 28.46, rel. 1000; 2θ 19.22, rel. 657; 2θ 30.38, rel. 605; 2θ 24.68, rel. 488; 2θ 36.12, rel. 338; 2θ 33.64, rel. 301; 2θ 35.23, rel. 264; 2θ 40.66, rel. 221



# 4
For TbMgO3, a structure optimized by DFT (GGA-PBE) gives the computed X-ray powder pattern in this record (Cu Kα).
Lines closer than 0.1° are merged.

```
TbMgO3
1.0
3.856 0.000 0.000
0.000 3.856 0.000
0.000 0.000 3.856
Tb Mg O
1 1 3
Direct
0.000 0.000 0.000
0.500 0.500 0.500
0.000 0.500 0.500
0.500 0.000 0.500
0.500 0.500 0.000
```

Top 8 peaks for 2θ = 15–90°, by intensity:
2θ 32.84, rel. 1000; 2θ 23.06, rel. 562; 2θ 40.52, rel. 439; 2θ 58.64, rel. 396; 2θ 47.13, rel. 343; 2θ 53.10, rel. 261; 2θ 68.86, rel. 204; 2θ 78.42, rel. 172



# 5
For Sr9Cd4Bi9, a structure optimized by DFT (GGA-PBE) gives the computed X-ray powder pattern in this record (Cu Kα).
Lines closer than 0.1° are merged.

```
Sr9Cd4Bi9
1.0
13.426 0.000 0.000
0.000 23.692 0.000
0.000 0.000 4.970
Sr Cd Bi
18 8 18
Direct
0.000 0.000 0.000
0.065 0.411 0.500
0.125 0.235 0.500
0.132 0.864 0.500
0.209 0.602 0.000
0.291 0.102 0.000
0.368 0.364 0.500
0.375 0.735 0.500
0.435 0.911 0.500
0.500 0.500 0.000
0.565 0.089 0.500
0.625 0.265 0.500
0.632 0.636 0.500
0.709 0.898 0.000
0.791 0.398 0.000
0.868 0.136 0.500
0.875 0.765 0.500
0.935 0.589 0.500
0.114 0.761 0.000
0.229 0.454 0.000
0.271 0.954 0.000
0.386 0.261 0.000
0.614 0.739 0.000
0.729 0.046 0.000
0.771 0.546 0.000
0.886 0.239 0.000
0.000 0.500 0.000
0.043 0.146 0.000
0.118 0.692 0.500
0.188 0.331 0.000
0.189 0.010 0.500
0.311 0.510 0.500
0.312 0.831 0.000
0.382 0.192 0.500
0.457 0.646 0.000
0.500 0.000 0.000
0.543 0.354 0.000
0.618 0.808 0.500
0.688 0.169 0.000
0.689 0.490 0.500
0.811 0.990 0.500
0.812 0.669 0.000
0.882 0.308 0.500
0.957 0.854 0.000
```

Top 8 peaks for 2θ = 15–90°, by intensity:
2θ 36.15, rel. 1000; 2θ 29.24, rel. 956; 2θ 22.84, rel. 859; 2θ 29.65, rel. 844; 2θ 27.09, rel. 801; 2θ 22.15, rel. 635; 2θ 37.80, rel. 588; 2θ 27.62, rel. 559